[1]
Starting from a crystal structure in Alexandria, relaxed with GGA-PBE, the powder X-ray diffraction pattern of GaIBr was computed for Cu Kα X-rays.

Largest 12 diffraction maxima, in order of rising 2θ, 10 to 90 degrees two-theta:
| 2θ/deg | d (Å) | I_rel |
| --- | --- | --- |
| 12.94 | 6.840 | 53.6 |
| 18.37 | 4.830 | 51.0 |
| 20.36 | 4.361 | 100.0 |
| 21.26 | 4.179 | 51.2 |
| 25.03 | 3.558 | 46.1 |
| 25.17 | 3.538 | 52.1 |
| 26.41 | 3.375 | 49.8 |
| 27.71 | 3.219 | 57.5 |
| 27.97 | 3.190 | 52.9 |
| 30.34 | 2.946 | 31.8 |
| 43.97 | 2.059 | 33.8 |
| 46.96 | 1.935 | 41.7 |

Structure:
Lattice parameters (Å, degrees): 4.119 7.062 9.220 103.99 102.40 90.32
Space group P-1 (No. 2)
Unique sites:
Ga (0.068, 0.015, 0.139) x2
I (0.401, 0.202, 0.790) x2
Br (0.156, 0.315, 0.319) x2


[2]
Starting from a crystal structure in Alexandria, relaxed with GGA-PBE, the powder X-ray diffraction pattern of PbWAu2 was computed for Cu Kα X-rays.

Largest 12 diffraction maxima, in order of rising 2θ, 10 to 90 degrees two-theta:
| 2θ/deg | d (Å) | I_rel |
| --- | --- | --- |
| 35.99 | 2.495 | 100.0 |
| 38.48 | 2.340 | 13.7 |
| 42.16 | 2.143 | 9.4 |
| 43.38 | 2.086 | 34.1 |
| 58.39 | 1.580 | 6.3 |
| 59.32 | 1.558 | 8.5 |
| 59.39 | 1.556 | 7.9 |
| 63.02 | 1.475 | 11.4 |
| 74.71 | 1.271 | 12.4 |
| 74.82 | 1.269 | 12.4 |
| 76.32 | 1.248 | 7.7 |
| 78.56 | 1.218 | 6.2 |

Structure:
Lattice parameters (Å, degrees): 4.168 4.175 9.359 90.00 90.00 90.00
Space group Cmm2 (No. 35)
Unique sites:
Pb (0.000, 0.000, 0.000) x2
W (0.000, 0.500, 0.742) x2
Au (0.000, 0.000, 0.538) x2
Au (0.000, 0.500, 0.312) x2


[3]
Starting from a crystal structure in Alexandria, relaxed with GGA-PBE, the powder X-ray diffraction pattern of K2ZrBeSe4 was computed for Cu Kα X-rays.

Largest 12 diffraction maxima, in order of rising 2θ, 10 to 90 degrees two-theta:
| 2θ/deg | d (Å) | I_rel |
| --- | --- | --- |
| 11.55 | 7.664 | 100.0 |
| 23.59 | 3.771 | 28.5 |
| 25.70 | 3.466 | 28.1 |
| 27.96 | 3.191 | 21.6 |
| 29.85 | 2.994 | 80.3 |
| 31.86 | 2.808 | 24.1 |
| 33.26 | 2.693 | 22.6 |
| 36.58 | 2.456 | 31.1 |
| 37.80 | 2.380 | 24.7 |
| 38.42 | 2.343 | 23.2 |
| 48.89 | 1.863 | 21.9 |
| 57.51 | 1.602 | 23.4 |

Structure:
Lattice parameters (Å, degrees): 10.321 11.974 7.803 90.00 104.88 90.00
Space group C2/c (No. 15)
Unique sites:
K (0.000, 0.000, 0.000) x4
K (0.250, 0.250, 0.000) x4
Zr (0.000, 0.500, 0.000) x4
Be (0.250, 0.250, 0.500) x4
Se (0.061, 0.263, 0.537) x8
Se (0.186, 0.491, 0.313) x8